(1)
Y4MgNi2: computed powder X-ray diffraction pattern (Cu Kα), based on a cell relaxed with GGA-PBE.

Most intense lines, 2θ from 10° to 90°, sorted by position:
| Position (°2θ) | d/Å | I/Imax |
| --- | --- | --- |
| 12.74 | 6.949 | 73 |
| 12.91 | 6.856 | 56 |
| 29.00 | 3.079 | 70 |
| 29.17 | 3.061 | 51 |
| 31.51 | 2.840 | 71 |
| 32.05 | 2.793 | 53 |
| 33.55 | 2.671 | 100 |
| 34.52 | 2.598 | 57 |
| 36.64 | 2.452 | 61 |
| 39.35 | 2.290 | 55 |

Atomic structure:
abc: 7.0711 7.1903 7.2880
angles: 101.06 102.72 93.60
Element x y z (fractional)
Y 0.0000 0.0000 0.0000
Y 0.0303 0.5364 0.6161
Y 0.0719 0.5252 0.1163
Y 0.1211 0.9535 0.5000
Y 0.5040 0.9507 0.1730
Y 0.5814 0.6559 0.7641
Y 0.6248 0.4698 0.2372
Y 0.6925 0.1567 0.6517
Mg 0.3024 0.3087 0.4026
Mg 0.3183 0.2675 0.8586
Ni 0.3850 0.7024 0.4180
Ni 0.7578 0.8036 0.5120
Ni 0.8220 0.7798 0.1763
Ni 0.8776 0.1960 0.3260

(2)
CeSm4Ho5: computed powder X-ray diffraction pattern (Cu Kα), based on a cell relaxed with GGA-PBE.

Most intense lines, 2θ from 10° to 90°, sorted by position:
| Position (°2θ) | d/Å | I/Imax |
| --- | --- | --- |
| 29.56 | 3.021 | 100 |
| 30.10 | 2.969 | 14 |
| 32.46 | 2.758 | 11 |
| 34.69 | 2.586 | 17 |
| 36.19 | 2.482 | 41 |
| 47.76 | 1.904 | 13 |
| 52.12 | 1.755 | 13 |
| 53.12 | 1.724 | 15 |
| 59.96 | 1.543 | 11 |
| 61.06 | 1.517 | 19 |

Atomic structure:
abc: 8.0155 8.0155 8.0155
angles: 97.89 97.89 136.52
Element x y z (fractional)
Ce 0.0000 0.0000 0.0000
Sm 0.0905 0.7665 0.3240
Sm 0.4425 0.7665 0.6760
Sm 0.7665 0.0905 0.3240
Sm 0.7665 0.4425 0.6760
Ho 0.0726 0.0726 0.6275
Ho 0.0726 0.4452 0.0000
Ho 0.4452 0.0726 0.0000
Ho 0.4452 0.4452 0.3725
Ho 0.5358 0.5358 0.0000

(3)
Fe2Rh3: computed powder X-ray diffraction pattern (Cu Kα), based on a cell relaxed with GGA-PBE.

Most intense lines, 2θ from 10° to 90°, sorted by position:
| Position (°2θ) | d/Å | I/Imax |
| --- | --- | --- |
| 24.95 | 3.569 | 6 |
| 39.53 | 2.280 | 34 |
| 42.24 | 2.140 | 100 |
| 46.50 | 1.953 | 45 |
| 51.99 | 1.759 | 17 |
| 65.89 | 1.418 | 7 |
| 69.82 | 1.347 | 19 |
| 74.12 | 1.279 | 14 |
| 85.09 | 1.140 | 31 |
| 88.09 | 1.109 | 7 |

Atomic structure:
abc: 2.6942 2.6942 10.7080
angles: 90.00 90.00 120.00
Element x y z (fractional)
Fe 0.3333 0.6667 0.3005
Fe 0.6667 0.3333 0.6995
Rh 0.0000 0.0000 0.5000
Rh 0.3333 0.6667 0.8936
Rh 0.6667 0.3333 0.1064

(4)
Rb5Cd6: computed powder X-ray diffraction pattern (Cu Kα), based on a cell relaxed with GGA-PBE.

Most intense lines, 2θ from 10° to 90°, sorted by position:
| Position (°2θ) | d/Å | I/Imax |
| --- | --- | --- |
| 11.00 | 8.043 | 49 |
| 12.25 | 7.224 | 54 |
| 13.74 | 6.445 | 31 |
| 24.90 | 3.576 | 53 |
| 25.41 | 3.505 | 100 |
| 27.66 | 3.225 | 29 |
| 31.68 | 2.824 | 41 |
| 32.63 | 2.744 | 44 |
| 33.06 | 2.709 | 43 |
| 34.82 | 2.576 | 30 |

Atomic structure:
abc: 8.6415 8.6415 8.5877
angles: 100.32 100.32 118.58
Element x y z (fractional)
Rb 0.0000 0.0000 0.0000
Rb 0.1619 0.8381 0.5000
Rb 0.3167 0.6833 0.0000
Rb 0.6833 0.3167 0.0000
Rb 0.8381 0.1619 0.5000
Cd 0.2364 0.4476 0.3420
Cd 0.3556 0.3556 0.6684
Cd 0.4476 0.2364 0.3420
Cd 0.5524 0.7636 0.6580
Cd 0.6444 0.6444 0.3316
Cd 0.7636 0.5524 0.6580

(5)
Na2NdAu3: computed powder X-ray diffraction pattern (Cu Kα), based on a cell relaxed with GGA-PBE.

Most intense lines, 2θ from 10° to 90°, sorted by position:
| Position (°2θ) | d/Å | I/Imax |
| --- | --- | --- |
| 21.38 | 4.157 | 13 |
| 24.73 | 3.599 | 62 |
| 35.21 | 2.549 | 100 |
| 35.32 | 2.541 | 97 |
| 43.50 | 2.080 | 15 |
| 50.73 | 1.800 | 35 |
| 63.22 | 1.471 | 54 |
| 63.47 | 1.466 | 18 |
| 85.17 | 1.139 | 16 |
| 85.36 | 1.137 | 16 |

Atomic structure:
abc: 5.0983 5.0983 12.4306
angles: 90.00 90.00 120.00
Element x y z (fractional)
Na 0.0000 0.0000 0.0000
Na 0.0000 0.0000 0.5000
Na 0.3333 0.6667 0.1529
Na 0.6667 0.3333 0.8471
Nd 0.3333 0.6667 0.6663
Nd 0.6667 0.3333 0.3337
Au 0.0000 0.0000 0.2530
Au 0.0000 0.0000 0.7470
Au 0.3333 0.6667 0.4094
Au 0.3333 0.6667 0.9079
Au 0.6667 0.3333 0.0921
Au 0.6667 0.3333 0.5906

(6)
TmI3Br: computed powder X-ray diffraction pattern (Cu Kα), based on a cell relaxed with GGA-PBE.

Most intense lines, 2θ from 10° to 90°, sorted by position:
| Position (°2θ) | d/Å | I/Imax |
| --- | --- | --- |
| 13.97 | 6.340 | 56 |
| 24.74 | 3.598 | 43 |
| 24.88 | 3.578 | 44 |
| 27.65 | 3.226 | 72 |
| 28.15 | 3.170 | 28 |
| 32.11 | 2.787 | 100 |
| 41.67 | 2.167 | 25 |
| 42.62 | 2.121 | 21 |
| 42.88 | 2.109 | 87 |
| 50.74 | 1.799 | 27 |

Atomic structure:
abc: 8.5830 8.5830 8.5830
angles: 82.51 129.82 119.33
Element x y z (fractional)
Tm 0.2480 0.2500 0.4980
Tm 0.7520 0.7500 0.5020
I 0.2192 0.5018 0.2174
I 0.2465 0.0142 0.2614
I 0.2465 0.4852 0.7324
I 0.2844 0.0018 0.7826
I 0.7528 0.5142 0.2676
I 0.7528 0.9852 0.7386
Br 0.7361 0.4985 0.7376
Br 0.7609 0.9985 0.2624

(7)
U2CuGe2O18: computed powder X-ray diffraction pattern (Cu Kα), based on a cell relaxed with GGA-PBE.

Most intense lines, 2θ from 10° to 90°, sorted by position:
| Position (°2θ) | d/Å | I/Imax |
| --- | --- | --- |
| 12.41 | 7.131 | 100 |
| 14.23 | 6.224 | 38 |
| 17.95 | 4.941 | 20 |
| 21.75 | 4.085 | 18 |
| 24.97 | 3.565 | 38 |
| 25.47 | 3.497 | 56 |
| 28.41 | 3.141 | 30 |
| 29.20 | 3.058 | 42 |
| 29.38 | 3.040 | 52 |
| 34.13 | 2.627 | 34 |

Atomic structure:
abc: 8.6252 8.6252 6.9783
angles: 112.94 112.94 47.86
Element x y z (fractional)
U 0.2460 0.2460 0.3593
U 0.7540 0.7540 0.6407
Cu 0.0000 0.0000 0.0000
Ge 0.2989 0.2989 0.8803
Ge 0.7011 0.7011 0.1197
O 0.0615 0.0615 0.6374
O 0.0787 0.4439 0.6850
O 0.1102 0.1102 0.2462
O 0.1487 0.8513 0.5000
O 0.2381 0.2381 0.0402
O 0.2647 0.7353 0.0000
O 0.3733 0.3733 0.4775
O 0.4222 0.4222 0.0575
O 0.4439 0.0787 0.6850
O 0.5561 0.9213 0.3150
O 0.5778 0.5778 0.9425
O 0.6267 0.6267 0.5225
O 0.7353 0.2647 0.0000
O 0.7619 0.7619 0.9598
O 0.8513 0.1487 0.5000
O 0.8898 0.8898 0.7538
O 0.9213 0.5561 0.3150
O 0.9385 0.9385 0.3626

(8)
MnPb2I6: computed powder X-ray diffraction pattern (Cu Kα), based on a cell relaxed with GGA-PBE.

Most intense lines, 2θ from 10° to 90°, sorted by position:
| Position (°2θ) | d/Å | I/Imax |
| --- | --- | --- |
| 16.86 | 5.259 | 87 |
| 25.59 | 3.481 | 100 |
| 26.80 | 3.326 | 35 |
| 33.13 | 2.704 | 94 |
| 34.10 | 2.629 | 46 |
| 38.78 | 2.322 | 25 |
| 41.28 | 2.187 | 68 |
| 43.11 | 2.098 | 17 |
| 52.58 | 1.741 | 25 |
| 71.23 | 1.324 | 24 |

Atomic structure:
abc: 7.4372 7.4372 13.9328
angles: 90.00 90.00 90.00
Element x y z (fractional)
Mn 0.0000 0.0000 0.0000
Mn 0.5000 0.5000 0.5000
Pb 0.0000 0.0000 0.3352
Pb 0.0000 0.0000 0.6648
Pb 0.5000 0.5000 0.1648
Pb 0.5000 0.5000 0.8352
I 0.1883 0.1883 0.1508
I 0.1883 0.1883 0.8492
I 0.2174 0.2174 0.5000
I 0.2826 0.7174 0.0000
I 0.3117 0.6883 0.3492
I 0.3117 0.6883 0.6508
I 0.6883 0.3117 0.3492
I 0.6883 0.3117 0.6508
I 0.7174 0.2826 0.0000
I 0.7826 0.7826 0.5000
I 0.8117 0.8117 0.1508
I 0.8117 0.8117 0.8492